(1)
Al3Fe5B2: calculated powder diffraction line list (CuKα), based on a PBE-relaxed structure.
Neutral-atom scattering factors, no anomalous dispersion.

Atomic structure:
```
data_Al3Fe5B2
_chemical_formula_sum 'Al6 Fe10 B4'
_cell_length_a 8.6373
_cell_length_b 8.6373
_cell_length_c 2.7990
_cell_angle_alpha 90.00
_cell_angle_beta 90.00
_cell_angle_gamma 90.00
_symmetry_space_group_name_H-M 'P 4/m b m'
_symmetry_Int_Tables_number 127
_symmetry_space_group_name_Hall '-P 4 2ab'
loop_
_atom_site_label
_atom_site_fract_x
_atom_site_fract_y
_atom_site_fract_z
Al1 0.0000 0.0000 0.0000
Al2 0.1753 0.3247 0.0000
Fe1 0.0000 0.5000 0.5000
Fe2 0.0695 0.7833 0.5000
B1 0.1237 0.6237 0.0000
```

Main lines, by angle (15 to 90 degrees two-theta):
(hkl), 2θ (°), intensity
0 0 1, 32.0, 48
2 1 1, 39.8, 49
4 1 0, 43.2, 80
3 1 1, 46.5, 100
4 2 0, 47.1, 43
3 2 1, 50.1, 49

(2)
Al2FeB: calculated powder diffraction line list (CuKα), based on a PBE-relaxed structure.
Neutral-atom scattering factors, no anomalous dispersion.

Atomic structure:
```
data_Al2FeB
_chemical_formula_sum 'Al8 Fe4 B4'
_cell_length_a 7.4929
_cell_length_b 7.4929
_cell_length_c 3.8931
_cell_angle_alpha 90.00
_cell_angle_beta 90.00
_cell_angle_gamma 90.00
_symmetry_space_group_name_H-M 'I -4 2 d'
_symmetry_Int_Tables_number 122
_symmetry_space_group_name_Hall 'I -4 2bw'
loop_
_atom_site_label
_atom_site_fract_x
_atom_site_fract_y
_atom_site_fract_z
Al1 0.1160 0.2500 0.1250
Fe1 0.0000 0.0000 0.5000
B1 0.0000 0.0000 0.0000
```

Main lines, by angle (15 to 90 degrees two-theta):
(hkl), 2θ (°), intensity
2 0 0, 23.7, 36
2 2 0, 33.8, 27
2 1 1, 35.3, 100
1 1 2, 49.9, 26
4 2 0, 54.8, 31
3 1 2, 61.7, 20